Starting from the GGA-PBE geometry in Alexandria, the powder XRD pattern of KNaCeBr6 was simulated for copper Kα.
Peak positions follow from Bragg's law for the DFT cell and can differ from measured ones.

Structural model:
```
data_KNaCeBr6
_cell_length_a 7.184
_cell_length_b 7.184
_cell_length_c 13.608
_cell_angle_alpha 90.00
_cell_angle_beta 90.00
_cell_angle_gamma 90.00
_space_group_name_H-M_alt 'P 42 n m'
_space_group_IT_number 102
loop_
_space_group_symop_operation_xyz
'x,y,z'
'-y+1/2,x+1/2,z+1/2'
'-x,-y,z'
'y+1/2,-x+1/2,z+1/2'
'-x+1/2,y+1/2,z+1/2'
'y,x,z'
'x+1/2,-y+1/2,z+1/2'
'-y,-x,z'
loop_
_atom_site_label
_atom_site_type_symbol
_atom_site_fract_x
_atom_site_fract_y
_atom_site_fract_z
_atom_site_occupancy
K1 K 0.000 0.000 0.000 1
Na1 Na 0.000 0.000 0.668 1
Ce1 Ce 0.000 0.000 0.336 1
Br1 Br 0.181 0.181 0.492 1
Br2 Br 0.199 0.199 0.193 1
Br3 Br 0.224 0.224 0.824 1
```

Peak list (12 most intense, 2θ = 15–90°, in order of rising 2θ)
17.5°, I = 494; 24.8°, I = 118; 26.3°, I = 1000; 27.8°, I = 328; 34.2°, I = 539; 35.3°, I = 374; 39.7°, I = 180; 42.7°, I = 458; 44.6°, I = 194; 52.5°, I = 175; 54.2°, I = 248; 74.1°, I = 201